[1]
The following is a theoretical powder X-ray diffraction pattern of BaAgSbS3O. It was derived from a crystal structure in the Materials Project, relaxed with PBE, using a wavelength of 1.5418 Å.
Peak positions follow from Bragg's law for the DFT cell and can differ from measured ones.

Structure:
```
data_BaAgSbS3O
_chemical_formula_sum 'Ba8 Ag8 Sb8 S24 O8'
_cell_length_a 19.0425
_cell_length_b 8.7840
_cell_length_c 9.1298
_cell_angle_alpha 90.00
_cell_angle_beta 90.00
_cell_angle_gamma 90.00
_space_group_name_H-M_alt 'P 1'
_space_group_IT_number 1
loop_
_space_group_symop_operation_xyz
'x,y,z'
loop_
_atom_site_label
_atom_site_fract_x
_atom_site_fract_y
_atom_site_fract_z
_atom_site_occupancy
Ba1 0.0507 0.0736 0.0000 1
Ba2 0.2084 0.7053 0.2088 1
Ba3 0.2916 0.2053 0.7088 1
Ba4 0.4493 0.5736 0.5000 1
Ba5 0.5507 0.4264 0.0000 1
Ba6 0.7084 0.7947 0.2088 1
Ba7 0.7916 0.2947 0.7088 1
Ba8 0.9493 0.9264 0.5000 1
Ag1 0.1427 0.4073 0.4700 1
Ag2 0.1453 0.4393 0.9346 1
Ag3 0.3547 0.9393 0.4346 1
Ag4 0.3573 0.9073 0.9700 1
Ag5 0.6427 0.0927 0.4700 1
Ag6 0.6453 0.0607 0.9346 1
Ag7 0.8547 0.5607 0.4346 1
Ag8 0.8573 0.5927 0.9700 1
Sb1 0.0070 0.5419 0.2000 1
Sb2 0.2455 0.6757 0.7027 1
Sb3 0.2545 0.1757 0.2027 1
Sb4 0.4930 0.0419 0.7000 1
Sb5 0.5070 0.9581 0.2000 1
Sb6 0.7455 0.8243 0.7027 1
Sb7 0.7545 0.3243 0.2027 1
Sb8 0.9930 0.4581 0.7000 1
S1 0.0691 0.6535 0.4127 1
S2 0.0699 0.6778 0.0054 1
S3 0.1037 0.2995 0.7111 1
S4 0.1426 0.3215 0.1990 1
S5 0.2253 0.0035 0.9969 1
S6 0.2250 0.0115 0.4099 1
S7 0.2747 0.5035 0.4969 1
S8 0.2750 0.5115 0.9099 1
S9 0.3574 0.8215 0.6990 1
S10 0.3963 0.7995 0.2111 1
S11 0.4301 0.1778 0.5054 1
S12 0.4309 0.1535 0.9127 1
S13 0.5691 0.8465 0.4127 1
S14 0.5699 0.8222 0.0054 1
S15 0.6037 0.2005 0.7111 1
S16 0.6426 0.1785 0.1990 1
S17 0.7250 0.4885 0.4099 1
S18 0.7253 0.4965 0.9969 1
S19 0.7750 0.9885 0.9099 1
S20 0.7747 0.9965 0.4969 1
S21 0.8574 0.6785 0.6990 1
S22 0.8963 0.7005 0.2111 1
S23 0.9301 0.3222 0.5054 1
S24 0.9309 0.3465 0.9127 1
O1 0.0286 0.9877 0.7273 1
O2 0.0373 0.9909 0.2813 1
O3 0.4627 0.4909 0.7813 1
O4 0.4714 0.4877 0.2273 1
O5 0.5286 0.5123 0.7273 1
O6 0.5373 0.5091 0.2813 1
O7 0.9627 0.0091 0.7813 1
O8 0.9714 0.0123 0.2273 1
```

Most intense lines, 2θ from 10° to 90°, sorted by position:
| two_theta | I (rel.) | hkl |
| --- | --- | --- |
| 11.09 | 70 | 1 1 0 |
| 17.24 | 37 | 3 1 0 |
| 22.29 | 43 | 2 2 0 |
| 22.95 | 38 | 1 2 1 |
| 26.10 | 57 | 3 1 2 |
| 27.06 | 66 | 4 0 2 |
| 28.20 | 40 | 0 2 2 |
| 28.59 | 36 | 1 2 2 |
| 29.76 | 100 | 2 2 2 |
| 31.08 | 72 | 5 2 0 |
| 39.48 | 46 | 0 0 4 |
| 52.05 | 45 | 10 0 2 |

=====

[2]
The following is a theoretical powder X-ray diffraction pattern of Na3BiP4O14. It was derived from a crystal structure in the Materials Project, relaxed with PBE, using a wavelength of 1.5418 Å.
Peak positions follow from Bragg's law for the DFT cell and can differ from measured ones.

Structure:
```
data_Na3BiP4O14
_chemical_formula_sum 'Na6 Bi2 P8 O28'
_cell_length_a 7.4072
_cell_length_b 9.6534
_cell_length_c 9.7135
_cell_angle_alpha 80.68
_cell_angle_beta 77.33
_cell_angle_gamma 69.81
_space_group_name_H-M_alt 'P 1'
_space_group_IT_number 1
loop_
_space_group_symop_operation_xyz
'x,y,z'
loop_
_atom_site_label
_atom_site_fract_x
_atom_site_fract_y
_atom_site_fract_z
_atom_site_occupancy
Na1 0.0524 0.0008 0.1617 1
Na2 0.3548 0.6486 0.2737 1
Na3 0.4425 0.9586 0.3318 1
Na4 0.5575 0.0414 0.6682 1
Na5 0.6452 0.3514 0.7263 1
Na6 0.9476 0.9992 0.8383 1
Bi1 0.1195 0.3777 0.2185 1
Bi2 0.8805 0.6223 0.7815 1
P1 0.0979 0.1585 0.5473 1
P2 0.1849 0.6354 0.9745 1
P3 0.2714 0.3923 0.5489 1
P4 0.4138 0.8338 0.9447 1
P5 0.5862 0.1662 0.0553 1
P6 0.7286 0.6077 0.4511 1
P7 0.8151 0.3646 0.0255 1
P8 0.9021 0.8415 0.4527 1
O1 0.0365 0.7366 0.8788 1
O2 0.0948 0.8565 0.3734 1
O3 0.1038 0.3134 0.5887 1
O4 0.1175 0.1753 0.3835 1
O5 0.1223 0.6630 0.1307 1
O6 0.1790 0.5349 0.6239 1
O7 0.2314 0.4715 0.9561 1
O8 0.2419 0.9674 0.9044 1
O9 0.2780 0.0326 0.5856 1
O10 0.3085 0.4221 0.3857 1
O11 0.3832 0.6812 0.9152 1
O12 0.3918 0.1701 0.1527 1
O13 0.4102 0.8342 0.1026 1
O14 0.4555 0.2913 0.6029 1
O15 0.5445 0.7087 0.3971 1
O16 0.5898 0.1658 0.8974 1
O17 0.6082 0.8299 0.8473 1
O18 0.6168 0.3188 0.0848 1
O19 0.6915 0.5779 0.6143 1
O20 0.7220 0.9674 0.4144 1
O21 0.7581 0.0326 0.0956 1
O22 0.7686 0.5285 0.0439 1
O23 0.8210 0.4651 0.3761 1
O24 0.8777 0.3370 0.8693 1
O25 0.8825 0.8247 0.6165 1
O26 0.8962 0.6866 0.4113 1
O27 0.9052 0.1435 0.6266 1
O28 0.9635 0.2634 0.1212 1
```

Most intense lines, 2θ from 10° to 90°, sorted by position:
| two_theta | I (rel.) | hkl |
| --- | --- | --- |
| 12.93 | 100 | 1 0 0 |
| 13.50 | 76 | 1 1 0 |
| 14.59 | 40 | 1 0 1 |
| 20.06 | 42 | 1 2 1 |
| 20.41 | 32 | 1 1 2 |
| 21.50 | 86 | -1 1 1 |
| 22.07 | 48 | 0 1 -2 |
| 22.64 | 26 | 0 2 -1 |
| 29.24 | 62 | 2 2 2 |
| 31.51 | 38 | 1 3 -1 |
| 32.96 | 25 | 1 -1 3 |
| 33.38 | 44 | 1 0 -3 |